Entry 1:
# La3Fe2
Calculated X-ray diffraction stick pattern, Cu Kα. Input: a crystal structure in OQMD, relaxed with PBE.

Structural model:
```
La3Fe2
1.0
3.4387 1.9853 6.3046
-3.4387 1.9853 6.3046
0.0000 -3.9707 6.3046
La Fe
6 4
Cartesian
-2.3085 -0.0278 7.8808
-1.1302 -2.0131 11.0331
1.1783 -1.9853 7.8808
-1.1783 1.9853 11.0331
1.1302 2.0131 7.8808
2.3085 0.0278 11.0331
0.0000 0.0000 2.7765
0.0000 0.0000 6.6805
0.0000 0.0000 12.2334
0.0000 0.0000 16.1374
```

Top 10 peaks for 15 to 90 degrees two-theta, in order of rising 2θ:
2θ 28.31, intensity 15
2θ 29.59, intensity 100
2θ 38.75, intensity 33
2θ 45.70, intensity 33
2θ 50.92, intensity 22
2θ 54.63, intensity 15
2θ 55.39, intensity 17
2θ 74.55, intensity 14
2θ 77.29, intensity 9
2θ 88.44, intensity 9

Entry 2:
# LiLaFeMo
Calculated X-ray diffraction stick pattern, Cu Kα. Input: a crystal structure in OQMD, relaxed with PBE.

Structural model:
```
LiLaFeMo
1.0
0.0000 3.2412 3.2412
3.2412 0.0000 3.2412
3.2412 3.2412 0.0000
Li La Fe Mo
1 1 1 1
Cartesian
0.0000 0.0000 0.0000
1.6206 1.6206 1.6206
4.8618 4.8618 4.8618
3.2412 3.2412 3.2412
```

Top 10 peaks for 15 to 90 degrees two-theta, in order of rising 2θ:
2θ 23.77, intensity 41
2θ 27.52, intensity 13
2θ 39.31, intensity 100
2θ 46.46, intensity 20
2θ 56.81, intensity 17
2θ 62.45, intensity 8
2θ 71.27, intensity 33
2θ 76.33, intensity 6
2θ 84.56, intensity 10
2θ 89.43, intensity 7

Entry 3:
# La3Fe2Si2N3
Calculated X-ray diffraction stick pattern, Cu Kα. Input: a crystal structure in OQMD, relaxed with PBE.

Structural model:
```
La3Fe2Si2N3
1.0
-1.8923 1.8923 11.1529
1.8923 -1.8923 11.1529
1.8923 1.8923 -11.1529
La Fe Si N
3 2 2 3
Cartesian
0.0000 0.0000 0.0000
0.0000 0.0000 8.5041
0.0000 0.0000 13.8016
1.8923 0.0000 5.5764
0.0000 1.8923 5.5764
0.0000 0.0000 4.2602
0.0000 0.0000 18.0455
0.0000 0.0000 2.4850
0.0000 0.0000 11.1529
0.0000 0.0000 19.8207
```

Top 10 peaks for 15 to 90 degrees two-theta, in order of rising 2θ:
2θ 26.43, intensity 52
2θ 30.99, intensity 100
2θ 32.10, intensity 39
2θ 33.49, intensity 43
2θ 34.47, intensity 34
2θ 37.27, intensity 28
2θ 48.08, intensity 39
2θ 53.48, intensity 27
2θ 58.31, intensity 34
2θ 58.99, intensity 26

Entry 4:
# La5Fe3Ni2
Calculated X-ray diffraction stick pattern, Cu Kα. Input: a crystal structure in OQMD, relaxed with PBE.

Structural model:
```
La5Fe3Ni2
1.0
6.7993 -3.5329 0.0000
6.7993 3.5329 0.0000
0.0000 0.0000 9.5886
La Fe Ni
10 6 4
Cartesian
2.7391 1.2965 7.1915
6.7993 2.3849 7.1915
5.0581 0.0000 0.0000
5.0581 0.0000 4.7943
2.7391 -1.2965 2.3972
10.8594 1.2965 7.1915
8.5404 0.0000 0.0000
8.5404 0.0000 4.7943
6.7993 -2.3849 2.3972
10.8594 -1.2965 2.3972
2.0260 0.0000 0.0000
2.0260 0.0000 4.7943
6.7993 0.8696 2.3972
6.7993 -0.8696 7.1915
11.5725 0.0000 0.0000
11.5725 0.0000 4.7943
6.7993 2.4275 0.6130
6.7993 2.4275 4.1813
6.7993 -2.4275 5.4073
6.7993 -2.4275 8.9756
```

Top 10 peaks for 15 to 90 degrees two-theta, in order of rising 2θ:
2θ 25.12, intensity 44
2θ 29.97, intensity 67
2θ 31.45, intensity 86
2θ 32.28, intensity 68
2θ 35.36, intensity 24
2θ 36.67, intensity 100
2θ 37.52, intensity 51
2θ 40.29, intensity 51
2θ 53.48, intensity 27
2θ 55.04, intensity 26

Entry 5:
# LaPrFe2Sn4
Calculated X-ray diffraction stick pattern, Cu Kα. Input: a crystal structure in OQMD, relaxed with PBE.

Structural model:
```
LaPrFe2Sn4
1.0
4.7297 0.0000 0.0000
0.0000 4.6582 0.0000
-2.3211 0.0000 8.7917
La Pr Fe Sn
1 1 2 4
Cartesian
0.0000 0.0000 0.0000
2.7796 2.3291 4.9490
-0.0576 0.0000 3.5413
2.8237 2.3291 1.4191
0.3944 2.3291 2.4915
0.4389 0.0000 5.9795
0.0149 2.3291 7.7639
2.3730 0.0000 2.4709
```

Top 10 peaks for 15 to 90 degrees two-theta, in order of rising 2θ:
2θ 30.50, intensity 11
2θ 30.97, intensity 100
2θ 31.63, intensity 17
2θ 36.21, intensity 26
2θ 38.05, intensity 21
2θ 38.66, intensity 28
2θ 50.78, intensity 9
2θ 55.37, intensity 14
2θ 64.65, intensity 10
2θ 65.22, intensity 12

Entry 6:
# La3Fe2S7
Calculated X-ray diffraction stick pattern, Cu Kα. Input: a crystal structure in OQMD, relaxed with PBE.

Structural model:
```
La3Fe2S7
1.0
10.2329 0.0000 0.0000
0.0000 5.8601 0.0000
-5.1013 0.0000 8.9289
La Fe S
6 4 14
Cartesian
-0.5416 0.0000 3.2102
2.0838 2.9243 1.0907
-0.0534 2.9296 6.5504
5.1851 5.8597 2.3785
3.0479 5.8544 7.8383
5.6733 2.9300 5.7187
-2.5405 5.3420 7.4363
2.5679 1.5865 4.4609
2.5638 4.5166 4.4681
7.6722 2.4120 1.4927
-4.5083 4.5428 8.1847
-2.2105 4.5438 5.3546
-2.5453 1.6951 7.4264
0.6586 3.0917 3.6810
2.2664 0.1611 2.3755
-0.9035 4.5469 8.7655
0.9542 0.1602 5.7524
4.1775 3.0903 3.1766
6.0352 1.6168 0.1635
2.8652 3.0912 6.5534
4.4731 0.1617 5.2479
7.6769 4.6251 1.5026
7.3422 1.6138 3.5744
9.6400 1.6127 0.7442
```

Top 10 peaks for 15 to 90 degrees two-theta, in order of rising 2θ:
2θ 18.13, intensity 40
2θ 23.03, intensity 44
2θ 25.11, intensity 100
2θ 25.18, intensity 50
2θ 26.46, intensity 36
2θ 30.53, intensity 32
2θ 33.93, intensity 39
2θ 34.87, intensity 38
2θ 35.27, intensity 33
2θ 36.73, intensity 62

Entry 7:
# La4FeS7
Calculated X-ray diffraction stick pattern, Cu Kα. Input: a crystal structure in OQMD, relaxed with PBE.

Structural model:
```
La4FeS7
1.0
9.8229 0.0000 0.0000
0.0000 6.9346 0.0000
-4.8968 0.0000 8.7564
La Fe S
8 2 14
Cartesian
-0.5698 0.0000 3.0412
-2.6087 6.8301 6.9024
1.9797 3.0453 1.3968
0.4574 3.2151 5.4448
4.4686 6.6825 3.3116
2.9464 6.5126 7.3595
7.5347 3.3627 1.8540
5.4958 3.4673 5.7151
0.0978 4.7742 8.5410
4.8282 1.3069 0.2154
-0.3285 1.4775 0.7027
-2.0129 1.9238 4.4124
0.1408 4.3431 2.9002
-1.6355 2.5726 7.6477
3.2964 6.1263 0.7498
0.1555 5.9587 6.5226
1.8089 1.2855 3.7786
3.1172 4.7528 4.9778
4.7706 2.4914 2.2338
1.6297 2.6590 8.0065
6.5616 6.0400 1.1087
4.7853 0.8758 5.8562
6.9389 5.3912 4.3440
5.2545 4.9448 8.0536
```

Top 10 peaks for 15 to 90 degrees two-theta, in order of rising 2θ:
2θ 22.18, intensity 24
2θ 24.04, intensity 68
2θ 24.42, intensity 100
2θ 25.69, intensity 32
2θ 32.95, intensity 22
2θ 33.26, intensity 76
2θ 33.93, intensity 25
2θ 35.78, intensity 45
2θ 44.30, intensity 26
2θ 44.55, intensity 47

Entry 8:
# LaSmFe2Si2
Calculated X-ray diffraction stick pattern, Cu Kα. Input: a crystal structure in OQMD, relaxed with PBE.

Structural model:
```
LaSmFe2Si2
1.0
4.0803 0.0000 0.0000
0.0000 4.0803 0.0000
0.0000 0.0000 6.8654
La Sm Fe Si
1 1 2 2
Cartesian
0.0000 0.0000 0.0000
2.0402 2.0402 4.3575
0.0000 2.0402 2.2470
2.0402 0.0000 2.2470
0.0000 0.0000 3.3770
2.0402 2.0402 1.1030
```

Top 10 peaks for 15 to 90 degrees two-theta, in order of rising 2θ:
2θ 25.39, intensity 100
2θ 31.00, intensity 35
2θ 33.70, intensity 47
2θ 34.13, intensity 74
2θ 40.86, intensity 72
2θ 44.40, intensity 53
2θ 51.84, intensity 29
2θ 57.17, intensity 33
2θ 58.32, intensity 25
2θ 76.14, intensity 23

Entry 9:
# LaTmFe2Si2
Calculated X-ray diffraction stick pattern, Cu Kα. Input: a crystal structure in OQMD, relaxed with PBE.

Structural model:
```
LaTmFe2Si2
1.0
4.0460 0.0000 0.0000
0.0000 4.0460 0.0000
0.0000 0.0000 6.6860
La Tm Fe Si
1 1 2 2
Cartesian
0.0000 0.0000 0.0000
2.0230 2.0230 4.2124
0.0000 2.0230 2.2671
2.0230 0.0000 2.2671
0.0000 0.0000 3.3839
2.0230 2.0230 1.1173
```

Top 10 peaks for 15 to 90 degrees two-theta, in order of rising 2θ:
2θ 25.74, intensity 100
2θ 31.26, intensity 35
2θ 34.09, intensity 42
2θ 34.81, intensity 64
2θ 41.55, intensity 68
2θ 44.80, intensity 49
2θ 52.38, intensity 30
2θ 57.95, intensity 29
2θ 59.87, intensity 22
2θ 77.79, intensity 21

Entry 10:
# LiLu2Fe
Calculated X-ray diffraction stick pattern, Cu Kα. Input: a crystal structure in OQMD, relaxed with PBE.

Structural model:
```
LiLu2Fe
1.0
0.0000 3.3383 3.3383
3.3383 0.0000 3.3383
3.3383 3.3383 0.0000
Li Lu Fe
1 2 1
Cartesian
0.0000 0.0000 0.0000
3.3383 3.3383 3.3383
5.0075 5.0075 5.0075
1.6692 1.6692 1.6692
```

Top 10 peaks for 15 to 90 degrees two-theta, in order of rising 2θ:
2θ 23.07, intensity 59
2θ 26.70, intensity 2
2θ 38.12, intensity 100
2θ 45.03, intensity 31
2θ 55.01, intensity 17
2θ 60.44, intensity 13
2θ 68.90, intensity 35
2θ 73.74, intensity 10
2θ 81.56, intensity 11
2θ 86.17, intensity 10

Entry 11:
# LiMgFe2
Calculated X-ray diffraction stick pattern, Cu Kα. Input: a crystal structure in OQMD, relaxed with PBE.

Structural model:
```
LiMgFe2
1.0
6.0178 0.0000 0.0000
0.0000 6.0178 0.0000
0.0000 0.0000 6.0178
Li Mg Fe
4 4 8
Cartesian
0.0000 0.0000 0.0000
0.0000 0.0000 3.0089
0.0000 3.0089 0.0000
3.0089 0.0000 0.0000
0.0000 3.0089 3.0089
3.0089 0.0000 3.0089
3.0089 3.0089 0.0000
3.0089 3.0089 3.0089
1.3380 1.3380 1.3380
1.3380 1.3380 4.6798
1.3380 4.6798 1.3380
1.3380 4.6798 4.6798
4.6798 1.3380 1.3380
4.6798 1.3380 4.6798
4.6798 4.6798 1.3380
4.6798 4.6798 4.6798
```

Top 10 peaks for 15 to 90 degrees two-theta, in order of rising 2θ:
2θ 29.69, intensity 49
2θ 33.29, intensity 19
2θ 42.49, intensity 100
2θ 45.20, intensity 11
2θ 52.69, intensity 8
2θ 55.02, intensity 10
2θ 61.65, intensity 12
2θ 63.77, intensity 12
2θ 77.75, intensity 20
2θ 87.24, intensity 13